No. 1
Simulated powder X-ray diffraction pattern of Bi2BAu for a wavelength of 1.5418 Å, from DFT lattice parameters and positions (GGA-PBE).
Lines closer than 0.1° are merged.

Cell and atoms:
```
16
Lattice="6.230 0.000 0.000 0.000 6.230 0.000 0.000 0.000 11.027" Properties=species:S:1:pos:R:3 pbc="T T T"
Bi 1.225 1.558 1.378
Bi 1.558 4.340 4.135
Bi 1.558 5.005 9.648
Bi 1.890 1.558 6.892
Bi 4.340 4.673 6.892
Bi 4.673 1.225 9.648
Bi 4.673 1.890 4.135
Bi 5.005 4.673 1.378
B 0.000 0.000 0.000
B 0.000 3.115 2.757
B 3.115 0.000 8.270
B 3.115 3.115 5.513
Au 0.000 0.000 5.513
Au 0.000 3.115 8.270
Au 3.115 0.000 2.757
Au 3.115 3.115 0.000
```

Peak list (12 most intense, 5° ≤ 2θ ≤ 70°, by intensity)
- 2θ = 25.89°, rel. 100, (1 1 2)
- 2θ = 43.86°, rel. 43, (2 0 4)
- 2θ = 33.16°, rel. 32, (2 1 1)
- 2θ = 49.11°, rel. 25, (3 1 2)
- 2θ = 40.97°, rel. 22, (2 2 0)
- 2θ = 28.19°, rel. 17, (1 0 3)
- 2θ = 54.07°, rel. 14, (1 1 6)
- 2θ = 59.08°, rel. 12, (3 2 3)
- 2θ = 44.39°, rel. 12, (3 0 1)
- 2θ = 69.05°, rel. 8, (3 2 5)
- 2θ = 40.63°, rel. 7, (2 1 3)
- 2θ = 66.96°, rel. 6, (4 1 3)


No. 2
Simulated powder X-ray diffraction pattern of FeBHAuC for a wavelength of 1.5418 Å, from DFT lattice parameters and positions (GGA-PBE).
Lines closer than 0.1° are merged.

Cell and atoms:
```
10
Lattice="4.857 0.000 0.000 0.000 2.765 0.000 -1.496 0.000 7.522" Properties=species:S:1:pos:R:3 pbc="T T T"
Fe 0.000 0.000 0.000
Fe 2.428 1.382 0.000
B 0.878 1.382 1.582
B 3.306 0.000 1.582
H 1.767 0.000 2.986
H 4.196 1.382 2.986
Au -0.665 1.382 5.245
Au 1.764 0.000 5.245
C 1.691 0.000 1.817
C 4.119 1.382 1.817
```

Peak list (12 most intense, 5° ≤ 2θ ≤ 70°, by intensity)
- 2θ = 11.76°, rel. 100, (0 0 1)
- 2θ = 38.37°, rel. 27, (1 1 -1)
- 2θ = 23.66°, rel. 24, (0 0 2)
- 2θ = 40.70°, rel. 23, (2 0 -2)
- 2θ = 42.78°, rel. 19, (1 1 -2)
- 2θ = 46.98°, rel. 19, (1 1 2)
- 2θ = 35.81°, rel. 16, (0 0 3)
- 2θ = 37.77°, rel. 13, (2 0 0)
- 2θ = 37.62°, rel. 13, (1 1 0)
- 2θ = 41.96°, rel. 11, (2 0 1)
- 2θ = 47.23°, rel. 9, (2 0 -3)
- 2θ = 66.99°, rel. 7, (3 1 -1)


No. 3
Simulated powder X-ray diffraction pattern of FeBPAuC2 for a wavelength of 1.5418 Å, from DFT lattice parameters and positions (GGA-PBE).
Lines closer than 0.1° are merged.

Cell and atoms:
```
6
Lattice="4.858 0.000 0.000 0.000 2.760 0.000 -1.989 0.000 5.009" Properties=species:S:1:pos:R:3 pbc="T T T"
Fe 0.000 0.000 0.000
B 0.199 1.380 4.136
P 3.802 0.000 2.018
Au 1.750 1.380 1.666
C -0.425 0.000 3.701
C 1.725 1.380 4.607
```

Peak list (12 most intense, 5° ≤ 2θ ≤ 70°, by intensity)
- 2θ = 17.71°, rel. 100, (0 0 1)
- 2θ = 38.22°, rel. 92, (1 1 0)
- 2θ = 21.07°, rel. 81, (1 0 -1)
- 2θ = 37.18°, rel. 66, (2 0 -1)
- 2θ = 33.92°, rel. 46, (1 0 -2)
- 2θ = 31.18°, rel. 40, (1 0 1)
- 2θ = 47.62°, rel. 35, (1 0 2)
- 2θ = 50.11°, rel. 34, (2 0 1)
- 2θ = 39.00°, rel. 34, (1 1 -1)
- 2θ = 19.66°, rel. 33, (1 0 0)
- 2θ = 39.93°, rel. 33, (2 0 0)
- 2θ = 35.86°, rel. 30, (0 0 2)


No. 4
Simulated powder X-ray diffraction pattern of FeBPAuC2 for a wavelength of 1.5418 Å, from DFT lattice parameters and positions (GGA-PBE).
Lines closer than 0.1° are merged.

Cell and atoms:
```
12
Lattice="13.148 0.000 0.000 0.000 2.695 0.000 -0.779 0.000 4.463" Properties=species:S:1:pos:R:3 pbc="T T T"
Fe 0.000 0.000 0.000
Fe 6.574 1.348 0.000
B 5.135 0.000 2.399
B 11.709 1.348 2.399
P 3.246 1.348 4.084
P 9.821 0.000 4.084
Au 1.124 1.348 2.829
Au 7.698 0.000 2.829
C 4.551 1.348 2.881
C 6.152 0.000 1.202
C 11.125 0.000 2.881
C 12.726 1.348 1.202
```

Peak list (12 most intense, 5° ≤ 2θ ≤ 70°, by intensity)
- 2θ = 13.67°, rel. 100, (2 0 0)
- 2θ = 39.04°, rel. 51, (1 1 -1)
- 2θ = 19.89°, rel. 51, (0 0 1)
- 2θ = 22.16°, rel. 43, (2 0 -1)
- 2θ = 26.12°, rel. 33, (2 0 1)
- 2θ = 33.97°, rel. 32, (1 1 0)
- 2θ = 37.00°, rel. 31, (4 0 1)
- 2θ = 31.21°, rel. 29, (4 0 -1)
- 2θ = 40.42°, rel. 27, (2 0 -2)
- 2θ = 39.41°, rel. 24, (3 1 0)
- 2θ = 48.76°, rel. 24, (5 1 0)
- 2θ = 60.57°, rel. 23, (3 1 2)


No. 5
Simulated powder X-ray diffraction pattern of SiBRhAuCS for a wavelength of 1.5418 Å, from DFT lattice parameters and positions (GGA-PBE).
Lines closer than 0.1° are merged.

Cell and atoms:
```
6
Lattice="4.457 0.000 0.000 -0.015 4.512 0.000 -0.323 -1.563 4.763" Properties=species:S:1:pos:R:3 pbc="T T T"
Si 0.000 0.000 0.000
B 0.674 1.125 4.570
Rh 0.793 1.952 2.724
Au 2.464 0.078 1.424
C 1.025 1.443 0.592
S 3.023 2.740 2.836
```

Peak list (12 most intense, 5° ≤ 2θ ≤ 70°, by intensity)
- 2θ = 18.63°, rel. 100, (0 0 1)
- 2θ = 23.19°, rel. 99, (0 1 -1)
- 2θ = 37.08°, rel. 93, (-1 1 1)
- 2θ = 29.29°, rel. 85, (1 1 0)
- 2θ = 28.38°, rel. 74, (1 0 1)
- 2θ = 32.15°, rel. 55, (0 1 1)
- 2θ = 30.26°, rel. 52, (1 1 -1)
- 2θ = 28.57°, rel. 51, (1 -1 0)
- 2θ = 45.55°, rel. 48, (1 -2 1)
- 2θ = 19.97°, rel. 41, (1 0 0)
- 2θ = 43.73°, rel. 38, (2 0 -1)
- 2θ = 41.78°, rel. 33, (1 0 -2)


No. 6
Simulated powder X-ray diffraction pattern of SiBRhAuCS for a wavelength of 1.5418 Å, from DFT lattice parameters and positions (GGA-PBE).
Lines closer than 0.1° are merged.

Cell and atoms:
```
6
Lattice="5.420 0.000 0.000 0.000 2.840 0.000 -2.500 0.000 5.255" Properties=species:S:1:pos:R:3 pbc="T T T"
Si 0.000 0.000 0.000
B 0.511 0.000 3.013
Rh 1.161 1.420 4.626
Au -1.308 1.420 3.412
C 1.159 0.000 1.559
S 2.363 1.420 1.378
```

Peak list (12 most intense, 5° ≤ 2θ ≤ 70°, by intensity)
- 2θ = 16.87°, rel. 100, (0 0 1)
- 2θ = 30.95°, rel. 64, (1 0 -2)
- 2θ = 31.51°, rel. 53, (0 1 0)
- 2θ = 29.82°, rel. 49, (1 0 1)
- 2θ = 18.73°, rel. 43, (1 0 -1)
- 2θ = 36.91°, rel. 42, (1 1 -1)
- 2θ = 36.72°, rel. 42, (2 0 0)
- 2θ = 35.95°, rel. 41, (0 1 1)
- 2θ = 44.75°, rel. 38, (1 1 -2)
- 2θ = 43.93°, rel. 38, (1 1 1)
- 2θ = 49.15°, rel. 36, (2 1 0)
- 2θ = 46.33°, rel. 34, (2 1 -1)